Simulated powder XRD pattern
Compound: Tm5BSb4
Radiation: Cu Kα X-rays
Structure: a PBE-relaxed structure
Neutral-atom scattering factors, no anomalous dispersion.

Structural model:
```
data_Tm5BSb4
_cell_length_a 9.397
_cell_length_b 9.397
_cell_length_c 6.025
_cell_angle_alpha 90.00
_cell_angle_beta 90.00
_cell_angle_gamma 90.00
_space_group_name_H-M_alt 'I 4'
_space_group_IT_number 79
_space_group_name_Hall 'I 4'
loop_
_atom_site_label
_atom_site_type_symbol
_atom_site_fract_x
_atom_site_fract_y
_atom_site_fract_z
Tm1 Tm 0.000 0.000 0.000
Tm2 Tm 0.096 0.262 0.466
B1 B 0.000 0.000 0.441
Sb1 Sb 0.084 0.310 0.965
```

Principal peaks in the range 5° ≤ 2θ ≤ 70°, low angle first:
2θ 25.85, intensity 22.5; 2θ 29.66, intensity 55.6; 2θ 30.07, intensity 100.0; 2θ 32.21, intensity 15.1; 2θ 37.60, intensity 18.7; 2θ 42.74, intensity 75.9; 2θ 43.05, intensity 29.4; 2θ 53.15, intensity 30.9; 2θ 61.57, intensity 7.4; 2θ 62.02, intensity 12.4; 2θ 62.51, intensity 7.4; 2θ 65.46, intensity 10.2

Simulated powder XRD pattern
Compound: Y2BSb
Radiation: Cu Kα X-rays
Structure: a PBE-relaxed structure
Neutral-atom scattering factors, no anomalous dispersion.

Structural model:
```
data_Y2BSb
_cell_length_a 7.525
_cell_length_b 7.525
_cell_length_c 6.823
_cell_angle_alpha 90.00
_cell_angle_beta 90.00
_cell_angle_gamma 90.00
_space_group_name_H-M_alt 'I -4 2 d'
_space_group_IT_number 122
_space_group_name_Hall 'I -4 2bw'
loop_
_atom_site_label
_atom_site_type_symbol
_atom_site_fract_x
_atom_site_fract_y
_atom_site_fract_z
Y1 Y 0.191 0.250 0.125
B1 B 0.000 0.000 0.000
Sb1 Sb 0.000 0.000 0.500
```

Principal peaks in the range 5° ≤ 2θ ≤ 70°, low angle first:
2θ 17.55, intensity 18.0; 2θ 29.60, intensity 82.7; 2θ 31.14, intensity 100.0; 2θ 33.69, intensity 61.5; 2θ 38.23, intensity 32.7; 2θ 41.48, intensity 12.8; 2θ 46.53, intensity 45.1; 2θ 48.36, intensity 23.8; 2θ 59.50, intensity 27.1; 2θ 60.18, intensity 19.4; 2θ 63.27, intensity 19.0; 2θ 68.55, intensity 13.8

Simulated powder XRD pattern
Compound: Sc5BSe4
Radiation: Cu Kα X-rays
Structure: a PBE-relaxed structure
Neutral-atom scattering factors, no anomalous dispersion.

Structural model:
```
data_Sc5BSe4
_cell_length_a 8.557
_cell_length_b 8.557
_cell_length_c 5.360
_cell_angle_alpha 90.00
_cell_angle_beta 90.00
_cell_angle_gamma 90.00
_space_group_name_H-M_alt 'I 4/m'
_space_group_IT_number 87
_space_group_name_Hall '-I 4'
loop_
_atom_site_label
_atom_site_type_symbol
_atom_site_fract_x
_atom_site_fract_y
_atom_site_fract_z
Sc1 Sc 0.000 0.000 0.000
Sc2 Sc 0.090 0.738 0.500
B1 B 0.000 0.000 0.500
Se1 Se 0.093 0.695 0.000
```

Principal peaks in the range 5° ≤ 2θ ≤ 70°, low angle first:
2θ 28.66, intensity 22.1; 2θ 29.53, intensity 6.5; 2θ 33.11, intensity 100.0; 2θ 33.44, intensity 50.7; 2θ 35.66, intensity 10.4; 2θ 41.62, intensity 11.8; 2θ 47.52, intensity 29.0; 2θ 47.77, intensity 67.8; 2θ 56.44, intensity 8.9; 2θ 59.35, intensity 28.9; 2θ 69.02, intensity 6.7; 2θ 69.47, intensity 7.8

Simulated powder XRD pattern
Compound: ScSiB
Radiation: Cu Kα X-rays
Structure: a PBE-relaxed structure
Neutral-atom scattering factors, no anomalous dispersion.

Structural model:
```
data_ScSiB
_cell_length_a 3.296
_cell_length_b 13.898
_cell_length_c 3.911
_cell_angle_alpha 90.00
_cell_angle_beta 90.00
_cell_angle_gamma 90.00
_space_group_name_H-M_alt 'C m c m'
_space_group_IT_number 63
_space_group_name_Hall '-C 2c 2'
loop_
_atom_site_label
_atom_site_type_symbol
_atom_site_fract_x
_atom_site_fract_y
_atom_site_fract_z
Sc1 Sc 0.000 0.178 0.250
Si1 Si 0.000 0.050 0.750
B1 B 0.000 0.360 0.250
```

Principal peaks in the range 5° ≤ 2θ ≤ 70°, low angle first:
2θ 27.82, intensity 68.9; 2θ 34.53, intensity 100.0; 2θ 36.22, intensity 53.3; 2θ 38.88, intensity 10.0; 2θ 40.76, intensity 22.1; 2θ 42.55, intensity 15.4; 2θ 46.44, intensity 28.8; 2θ 48.78, intensity 62.8; 2θ 55.00, intensity 18.8; 2θ 55.79, intensity 15.9; 2θ 66.92, intensity 11.1; 2θ 67.29, intensity 26.3

Simulated powder XRD pattern
Compound: Sc2TaSiB
Radiation: Cu Kα X-rays
Structure: a PBE-relaxed structure
Neutral-atom scattering factors, no anomalous dispersion.

Structural model:
```
data_Sc2TaSiB
_cell_length_a 4.475
_cell_length_b 4.475
_cell_length_c 4.365
_cell_angle_alpha 90.00
_cell_angle_beta 90.00
_cell_angle_gamma 90.00
_space_group_name_H-M_alt 'P 4/m m m'
_space_group_IT_number 123
_space_group_name_Hall '-P 4 2'
loop_
_atom_site_label
_atom_site_type_symbol
_atom_site_fract_x
_atom_site_fract_y
_atom_site_fract_z
Sc1 Sc 0.000 0.500 0.000
Ta1 Ta 0.000 0.000 0.500
Si1 Si 0.500 0.500 0.500
B1 B 0.000 0.000 0.000
```

Principal peaks in the range 5° ≤ 2θ ≤ 70°, low angle first:
2θ 19.84, intensity 61.4; 2θ 20.34, intensity 12.8; 2θ 28.20, intensity 16.5; 2θ 28.56, intensity 40.0; 2θ 35.02, intensity 100.0; 2θ 40.30, intensity 37.3; 2θ 41.37, intensity 17.3; 2θ 45.31, intensity 14.7; 2θ 46.28, intensity 13.8; 2θ 50.14, intensity 18.2; 2θ 59.13, intensity 23.4; 2θ 69.87, intensity 25.7

Simulated powder XRD pattern
Compound: SrScB
Radiation: Cu Kα X-rays
Structure: a PBE-relaxed structure
Neutral-atom scattering factors, no anomalous dispersion.

Structural model:
```
data_SrScB
_cell_length_a 3.597
_cell_length_b 5.529
_cell_length_c 7.744
_cell_angle_alpha 90.00
_cell_angle_beta 90.00
_cell_angle_gamma 90.00
_space_group_name_H-M_alt 'P m m 2'
_space_group_IT_number 25
_space_group_name_Hall 'P 2 -2'
loop_
_atom_site_label
_atom_site_type_symbol
_atom_site_fract_x
_atom_site_fract_y
_atom_site_fract_z
Sr1 Sr 0.000 0.000 0.000
Sr2 Sr 0.500 0.500 0.336
Sc1 Sc 0.000 0.000 0.544
Sc2 Sc 0.000 0.500 0.744
B1 B 0.500 0.152 0.717
```

Principal peaks in the range 5° ≤ 2θ ≤ 70°, low angle first:
2θ 19.73, intensity 48.3; 2θ 27.34, intensity 45.0; 2θ 28.14, intensity 100.0; 2θ 29.63, intensity 46.3; 2θ 31.85, intensity 38.5; 2θ 32.39, intensity 45.0; 2θ 34.02, intensity 33.3; 2θ 37.82, intensity 38.8; 2θ 42.88, intensity 31.8; 2θ 46.30, intensity 23.9; 2θ 47.68, intensity 22.4; 2θ 59.04, intensity 23.1

Simulated powder XRD pattern
Compound: SrScB12
Radiation: Cu Kα X-rays
Structure: a PBE-relaxed structure
Neutral-atom scattering factors, no anomalous dispersion.

Structural model:
```
data_SrScB12
_cell_length_a 4.132
_cell_length_b 4.132
_cell_length_c 8.263
_cell_angle_alpha 90.00
_cell_angle_beta 90.00
_cell_angle_gamma 90.00
_space_group_name_H-M_alt 'P 4/m m m'
_space_group_IT_number 123
_space_group_name_Hall '-P 4 2'
loop_
_atom_site_label
_atom_site_type_symbol
_atom_site_fract_x
_atom_site_fract_y
_atom_site_fract_z
Sr1 Sr 0.000 0.000 0.000
Sc1 Sc 0.000 0.000 0.500
B1 B 0.200 0.500 0.255
B2 B 0.500 0.500 0.103
B3 B 0.500 0.500 0.402
```

Principal peaks in the range 5° ≤ 2θ ≤ 70°, low angle first:
2θ 10.71, intensity 12.7; 2θ 21.51, intensity 25.9; 2θ 24.08, intensity 10.7; 2θ 30.60, intensity 100.0; 2θ 32.51, intensity 6.5; 2θ 37.71, intensity 45.5; 2θ 43.82, intensity 23.6; 2θ 45.24, intensity 3.9; 2θ 49.32, intensity 43.5; 2θ 54.39, intensity 15.3; 2θ 63.70, intensity 7.1; 2θ 68.08, intensity 30.1

Simulated powder XRD pattern
Compound: Sc2TaTc5B2
Radiation: Cu Kα X-rays
Structure: a PBE-relaxed structure
Neutral-atom scattering factors, no anomalous dispersion.

Structural model:
```
data_Sc2TaTc5B2
_cell_length_a 9.505
_cell_length_b 9.505
_cell_length_c 3.166
_cell_angle_alpha 90.00
_cell_angle_beta 90.00
_cell_angle_gamma 90.00
_space_group_name_H-M_alt 'P 4/m b m'
_space_group_IT_number 127
_space_group_name_Hall '-P 4 2ab'
loop_
_atom_site_label
_atom_site_type_symbol
_atom_site_fract_x
_atom_site_fract_y
_atom_site_fract_z
Sc1 Sc 0.177 0.323 0.000
Ta1 Ta 0.000 0.000 0.000
Tc1 Tc 0.000 0.500 0.500
Tc2 Tc 0.067 0.783 0.500
B1 B 0.124 0.624 0.000
```

Principal peaks in the range 5° ≤ 2θ ≤ 70°, low angle first:
2θ 13.17, intensity 34.8; 2θ 18.67, intensity 31.9; 2θ 31.23, intensity 19.1; 2θ 34.01, intensity 17.7; 2θ 35.35, intensity 24.5; 2θ 37.86, intensity 22.5; 2θ 39.08, intensity 79.1; 2θ 41.42, intensity 100.0; 2θ 42.53, intensity 43.1; 2θ 44.73, intensity 22.6; 2θ 48.86, intensity 18.1; 2θ 58.29, intensity 16.4

Simulated powder XRD pattern
Compound: Sc2TaTlB
Radiation: Cu Kα X-rays
Structure: a PBE-relaxed structure
Neutral-atom scattering factors, no anomalous dispersion.

Structural model:
```
data_Sc2TaTlB
_cell_length_a 4.613
_cell_length_b 4.613
_cell_length_c 4.475
_cell_angle_alpha 90.00
_cell_angle_beta 90.00
_cell_angle_gamma 90.00
_space_group_name_H-M_alt 'P 4/m m m'
_space_group_IT_number 123
_space_group_name_Hall '-P 4 2'
loop_
_atom_site_label
_atom_site_type_symbol
_atom_site_fract_x
_atom_site_fract_y
_atom_site_fract_z
Sc1 Sc 0.000 0.500 0.000
Ta1 Ta 0.000 0.000 0.500
Tl1 Tl 0.500 0.500 0.500
B1 B 0.000 0.000 0.000
```

Principal peaks in the range 5° ≤ 2θ ≤ 70°, low angle first:
2θ 19.84, intensity 33.4; 2θ 27.34, intensity 36.1; 2θ 34.01, intensity 100.0; 2θ 39.06, intensity 36.6; 2θ 40.30, intensity 16.8; 2θ 44.18, intensity 18.7; 2θ 49.39, intensity 15.1; 2θ 56.42, intensity 12.4; 2θ 57.37, intensity 23.6; 2θ 60.42, intensity 7.8; 2θ 67.54, intensity 27.2; 2θ 69.26, intensity 12.6

Simulated powder XRD pattern
Compound: ScB2Te
Radiation: Cu Kα X-rays
Structure: a PBE-relaxed structure
Neutral-atom scattering factors, no anomalous dispersion.

Structural model:
```
data_ScB2Te
_cell_length_a 6.189
_cell_length_b 6.189
_cell_length_c 6.816
_cell_angle_alpha 90.00
_cell_angle_beta 90.00
_cell_angle_gamma 90.00
_space_group_name_H-M_alt 'I -4 2 d'
_space_group_IT_number 122
_space_group_name_Hall 'I -4 2bw'
loop_
_atom_site_label
_atom_site_type_symbol
_atom_site_fract_x
_atom_site_fract_y
_atom_site_fract_z
Sc1 Sc 0.000 0.000 0.000
B1 B 0.220 0.250 0.625
Te1 Te 0.000 0.000 0.500
```

Principal peaks in the range 5° ≤ 2θ ≤ 70°, low angle first:
2θ 19.37, intensity 43.5; 2θ 28.85, intensity 59.1; 2θ 33.32, intensity 100.0; 2θ 34.99, intensity 18.0; 2θ 41.26, intensity 31.7; 2θ 52.08, intensity 6.7; 2θ 54.03, intensity 48.2; 2θ 55.18, intensity 6.1; 2θ 59.77, intensity 10.0; 2θ 62.19, intensity 17.9; 2θ 67.71, intensity 10.3; 2θ 69.98, intensity 9.2

Simulated powder XRD pattern
Compound: ThScB12
Radiation: Cu Kα X-rays
Structure: a PBE-relaxed structure
Neutral-atom scattering factors, no anomalous dispersion.

Structural model:
```
data_ThScB12
_cell_length_a 4.095
_cell_length_b 4.095
_cell_length_c 8.183
_cell_angle_alpha 90.00
_cell_angle_beta 90.00
_cell_angle_gamma 90.00
_space_group_name_H-M_alt 'P 4/m m m'
_space_group_IT_number 123
_space_group_name_Hall '-P 4 2'
loop_
_atom_site_label
_atom_site_type_symbol
_atom_site_fract_x
_atom_site_fract_y
_atom_site_fract_z
Th1 Th 0.000 0.000 0.000
Sc1 Sc 0.000 0.000 0.500
B1 B 0.198 0.500 0.252
B2 B 0.500 0.500 0.100
B3 B 0.500 0.500 0.402
```

Principal peaks in the range 5° ≤ 2θ ≤ 70°, low angle first:
2θ 10.81, intensity 68.8; 2θ 21.71, intensity 62.0; 2θ 24.30, intensity 47.9; 2θ 30.89, intensity 100.0; 2θ 32.81, intensity 28.8; 2θ 38.07, intensity 43.0; 2θ 44.25, intensity 21.9; 2θ 45.68, intensity 19.0; 2θ 49.80, intensity 49.8; 2θ 51.11, intensity 14.0; 2θ 54.94, intensity 26.8; 2θ 68.79, intensity 28.4

Simulated powder XRD pattern
Compound: ScTi2B6
Radiation: Cu Kα X-rays
Structure: a PBE-relaxed structure
Neutral-atom scattering factors, no anomalous dispersion.

Structural model:
```
data_ScTi2B6
_cell_length_a 5.3138
_cell_length_b 5.3138
_cell_length_c 3.3229
_cell_angle_alpha 90.00
_cell_angle_beta 90.00
_cell_angle_gamma 120.00
_space_group_name_H-M_alt 'P 6/m m m'
_space_group_IT_number 191
_space_group_name_Hall '-P 6 2'
loop_
_atom_site_label
_atom_site_type_symbol
_atom_site_fract_x
_atom_site_fract_y
_atom_site_fract_z
Sc1 Sc 0.0000 0.0000 0.0000
Ti1 Ti 0.3333 0.6667 0.0000
B1 B 0.0000 0.3365 0.5000
```

Principal peaks in the range 5° ≤ 2θ ≤ 70°, low angle first:
2θ 26.83, intensity 19.4; 2θ 33.73, intensity 54.9; 2θ 43.62, intensity 100.0; 2θ 55.29, intensity 9.7; 2θ 60.34, intensity 21.7; 2θ 66.36, intensity 13.4; 2θ 67.22, intensity 8.7

Simulated powder XRD pattern
Compound: TmSc2B6
Radiation: Cu Kα X-rays
Structure: a PBE-relaxed structure
Neutral-atom scattering factors, no anomalous dispersion.

Structural model:
```
data_TmSc2B6
_cell_length_a 5.5083
_cell_length_b 5.5083
_cell_length_c 3.6295
_cell_angle_alpha 90.00
_cell_angle_beta 90.00
_cell_angle_gamma 120.00
_space_group_name_H-M_alt 'P 6/m m m'
_space_group_IT_number 191
_space_group_name_Hall '-P 6 2'
loop_
_atom_site_label
_atom_site_type_symbol
_atom_site_fract_x
_atom_site_fract_y
_atom_site_fract_z
Tm1 Tm 0.0000 0.0000 0.0000
Sc1 Sc 0.3333 0.6667 0.0000
B1 B 0.0000 0.3374 0.5000
```

Principal peaks in the range 5° ≤ 2θ ≤ 70°, low angle first:
2θ 18.60, intensity 69.2; 2θ 24.53, intensity 34.7; 2θ 30.96, intensity 42.3; 2θ 32.51, intensity 66.7; 2θ 37.72, intensity 12.9; 2θ 41.14, intensity 100.0; 2θ 45.51, intensity 14.9; 2θ 50.63, intensity 11.3; 2θ 57.03, intensity 15.9; 2θ 58.00, intensity 20.0; 2θ 61.16, intensity 21.6; 2θ 63.92, intensity 15.8

Simulated powder XRD pattern
Compound: Tm2ScB6
Radiation: Cu Kα X-rays
Structure: a PBE-relaxed structure
Neutral-atom scattering factors, no anomalous dispersion.

Structural model:
```
data_Tm2ScB6
_cell_length_a 5.5754
_cell_length_b 5.5754
_cell_length_c 3.7089
_cell_angle_alpha 90.00
_cell_angle_beta 90.00
_cell_angle_gamma 120.00
_space_group_name_H-M_alt 'P 6/m m m'
_space_group_IT_number 191
_space_group_name_Hall '-P 6 2'
loop_
_atom_site_label
_atom_site_type_symbol
_atom_site_fract_x
_atom_site_fract_y
_atom_site_fract_z
Tm1 Tm 0.3333 0.6667 0.0000
Sc1 Sc 0.0000 0.0000 0.0000
B1 B 0.0000 0.3281 0.5000
```

Principal peaks in the range 5° ≤ 2θ ≤ 70°, low angle first:
2θ 18.37, intensity 32.3; 2θ 23.99, intensity 42.5; 2θ 30.39, intensity 20.3; 2θ 32.11, intensity 73.2; 2θ 40.48, intensity 100.0; 2θ 44.79, intensity 7.0; 2θ 49.13, intensity 10.4; 2θ 56.17, intensity 7.6; 2θ 57.24, intensity 19.6; 2θ 59.91, intensity 25.2; 2θ 62.95, intensity 19.4; 2θ 67.16, intensity 8.9